Entry 1:
Structure and theoretical X-ray powder pattern of Cs4PaI10 (a cell relaxed with GGA-PBE; Cu Kα).

Crystal structure
```
data_Cs4PaI10
_chemical_formula_sum 'Cs4 Pa1 I10'
_space_group_name_H-M_alt 'P 1'
_space_group_IT_number 1
_cell_length_a 10.905
_cell_length_b 10.905
_cell_length_c 10.905
_cell_angle_alpha 97.75
_cell_angle_beta 97.75
_cell_angle_gamma 136.90
loop_
_space_group_symop_operation_xyz
'x,y,z'
loop_
_atom_site_label
_atom_site_fract_x
_atom_site_fract_y
_atom_site_fract_z
Cs1 0.112 0.698 0.810
Cs2 0.302 0.112 0.413
Cs3 0.698 0.888 0.587
Cs4 0.888 0.302 0.190
Pa1 0.500 0.500 0.000
I1 0.109 0.351 0.913
I2 0.196 0.109 0.758
I3 0.250 0.750 0.500
I4 0.351 0.438 0.242
I5 0.438 0.196 0.087
I6 0.562 0.804 0.913
I7 0.649 0.562 0.758
I8 0.750 0.250 0.500
I9 0.804 0.891 0.242
I10 0.891 0.649 0.087
```

Top 10 peaks for 2θ from 5° to 70°, sorted by position:
d [Å], 2θ (°), I (rel.)
10.143, 8.72, 220
7.172, 12.34, 148
5.007, 17.71, 601
3.207, 27.82, 536
3.002, 29.76, 1000
2.701, 33.17, 236
2.463, 36.47, 135
2.268, 39.74, 175
1.810, 50.43, 217
1.699, 53.98, 139

=====

Entry 2:
Structure and theoretical X-ray powder pattern of Cs3Pa2Se5I2 (a cell relaxed with GGA-PBE; Cu Kα).

Crystal structure
```
data_Cs3Pa2Se5I2
_chemical_formula_sum 'Cs3 Pa2 Se5 I2'
_space_group_name_H-M_alt 'P 1'
_space_group_IT_number 1
_cell_length_a 15.945
_cell_length_b 15.945
_cell_length_c 15.945
_cell_angle_alpha 159.83
_cell_angle_beta 159.83
_cell_angle_gamma 28.68
loop_
_space_group_symop_operation_xyz
'x,y,z'
loop_
_atom_site_label
_atom_site_fract_x
_atom_site_fract_y
_atom_site_fract_z
Cs1 0.000 0.000 0.000
Cs2 0.175 0.175 0.000
Cs3 0.825 0.825 0.000
Pa1 0.411 0.411 0.000
Pa2 0.589 0.589 0.000
Se1 0.093 0.593 0.500
Se2 0.407 0.907 0.500
Se3 0.500 0.500 0.000
Se4 0.593 0.093 0.500
Se5 0.907 0.407 0.500
I1 0.307 0.307 0.000
I2 0.693 0.693 0.000
```

Top 10 peaks for 2θ from 5° to 70°, sorted by position:
d [Å], 2θ (°), I (rel.)
15.448, 5.72, 368
7.724, 11.46, 276
5.495, 16.13, 421
4.143, 21.45, 417
3.949, 22.52, 790
3.463, 25.73, 479
3.090, 28.90, 346
2.792, 32.06, 1000
2.071, 43.70, 447
1.974, 45.97, 365

=====

Entry 3:
Structure and theoretical X-ray powder pattern of Cs6PbI8 (a cell relaxed with GGA-PBE; Cu Kα).

Crystal structure
```
data_Cs6PbI8
_chemical_formula_sum 'Cs6 Pb1 I8'
_space_group_name_H-M_alt 'P 1'
_space_group_IT_number 1
_cell_length_a 9.980
_cell_length_b 9.980
_cell_length_c 9.980
_cell_angle_alpha 68.97
_cell_angle_beta 68.97
_cell_angle_gamma 68.97
loop_
_space_group_symop_operation_xyz
'x,y,z'
loop_
_atom_site_label
_atom_site_fract_x
_atom_site_fract_y
_atom_site_fract_z
Cs1 0.016 0.440 0.805
Cs2 0.195 0.984 0.560
Cs3 0.440 0.805 0.016
Cs4 0.560 0.195 0.984
Cs5 0.805 0.016 0.440
Cs6 0.984 0.560 0.195
Pb1 0.500 0.500 0.500
I1 0.155 0.155 0.155
I2 0.183 0.662 0.407
I3 0.338 0.593 0.817
I4 0.407 0.183 0.662
I5 0.593 0.817 0.338
I6 0.662 0.407 0.183
I7 0.817 0.338 0.593
I8 0.845 0.845 0.845
```

Top 10 peaks for 2θ from 5° to 70°, sorted by position:
d [Å], 2θ (°), I (rel.)
7.552, 11.72, 350
4.524, 19.62, 477
3.776, 23.56, 332
3.651, 24.38, 580
3.516, 25.33, 584
3.262, 27.34, 626
3.139, 28.43, 1000
3.097, 28.83, 478
2.865, 31.21, 484
2.645, 33.89, 336

=====

Entry 4:
Structure and theoretical X-ray powder pattern of Cs2Pb2I5 (a cell relaxed with GGA-PBE; Cu Kα).

Crystal structure
```
data_Cs2Pb2I5
_chemical_formula_sum 'Cs2 Pb2 I5'
_space_group_name_H-M_alt 'P 1'
_space_group_IT_number 1
_cell_length_a 10.271
_cell_length_b 6.444
_cell_length_c 6.444
_cell_angle_alpha 90.00
_cell_angle_beta 90.00
_cell_angle_gamma 90.00
loop_
_space_group_symop_operation_xyz
'x,y,z'
loop_
_atom_site_label
_atom_site_fract_x
_atom_site_fract_y
_atom_site_fract_z
Cs1 0.000 0.000 0.000
Cs2 0.500 0.001 0.001
Pb1 0.317 0.501 0.501
Pb2 0.683 0.501 0.501
I1 0.000 0.502 0.502
I2 0.279 0.001 0.501
I3 0.279 0.501 0.001
I4 0.721 0.001 0.501
I5 0.721 0.501 0.001
```

Top 10 peaks for 2θ from 5° to 70°, sorted by position:
d [Å], 2θ (°), I (rel.)
6.444, 13.74, 215
4.016, 22.13, 334
3.424, 26.03, 207
3.409, 26.14, 480
3.222, 27.68, 1000
3.024, 29.54, 267
2.346, 38.36, 300
2.278, 39.55, 385
2.205, 40.93, 225
1.895, 48.00, 331

=====

Entry 5:
Structure and theoretical X-ray powder pattern of Cs3Pb2I7 (a cell relaxed with GGA-PBE; Cu Kα).

Crystal structure
```
data_Cs3Pb2I7
_chemical_formula_sum 'Cs3 Pb2 I7'
_space_group_name_H-M_alt 'P 1'
_space_group_IT_number 1
_cell_length_a 16.599
_cell_length_b 16.599
_cell_length_c 16.599
_cell_angle_alpha 157.84
_cell_angle_beta 157.84
_cell_angle_gamma 31.54
loop_
_space_group_symop_operation_xyz
'x,y,z'
loop_
_atom_site_label
_atom_site_fract_x
_atom_site_fract_y
_atom_site_fract_z
Cs1 0.000 0.000 0.000
Cs2 0.179 0.179 0.000
Cs3 0.821 0.821 0.000
Pb1 0.398 0.398 0.000
Pb2 0.602 0.602 0.000
I1 0.097 0.597 0.500
I2 0.299 0.299 0.000
I3 0.403 0.903 0.500
I4 0.500 0.500 0.000
I5 0.597 0.097 0.500
I6 0.701 0.701 0.000
I7 0.903 0.403 0.500
```

Top 10 peaks for 2θ from 5° to 70°, sorted by position:
d [Å], 2θ (°), I (rel.)
7.987, 11.08, 209
6.256, 14.16, 199
4.512, 19.67, 424
3.442, 25.89, 299
3.191, 27.96, 1000
3.102, 28.78, 204
2.257, 39.95, 698
2.224, 40.57, 163
1.843, 49.47, 227
1.427, 65.40, 286

=====

Entry 6:
Structure and theoretical X-ray powder pattern of CsSb2PbI (a cell relaxed with GGA-PBE; Cu Kα).

Crystal structure
```
data_CsSb2PbI
_chemical_formula_sum 'Cs1 Sb2 Pb1 I1'
_space_group_name_H-M_alt 'P 1'
_space_group_IT_number 1
_cell_length_a 5.938
_cell_length_b 5.938
_cell_length_c 6.784
_cell_angle_alpha 90.00
_cell_angle_beta 90.00
_cell_angle_gamma 90.00
loop_
_space_group_symop_operation_xyz
'x,y,z'
loop_
_atom_site_label
_atom_site_fract_x
_atom_site_fract_y
_atom_site_fract_z
Cs1 0.000 0.000 0.000
Sb1 0.000 0.500 0.500
Sb2 0.500 0.000 0.500
Pb1 0.500 0.500 0.500
I1 0.500 0.500 0.000
```

Top 10 peaks for 2θ from 5° to 70°, sorted by position:
d [Å], 2θ (°), I (rel.)
6.784, 13.05, 251
5.938, 14.92, 417
4.468, 19.87, 475
3.570, 24.94, 577
3.392, 26.27, 708
2.969, 30.10, 1000
2.234, 40.38, 902
2.099, 43.09, 375
1.785, 51.17, 452
1.473, 63.14, 240

=====

Entry 7:
Structure and theoretical X-ray powder pattern of Cs2SrPbI6 (a cell relaxed with GGA-PBE; Cu Kα).

Crystal structure
```
data_Cs2SrPbI6
_chemical_formula_sum 'Cs4 Sr2 Pb2 I12'
_space_group_name_H-M_alt 'P 1'
_space_group_IT_number 1
_cell_length_a 8.765
_cell_length_b 9.155
_cell_length_c 15.368
_cell_angle_alpha 90.00
_cell_angle_beta 124.53
_cell_angle_gamma 90.00
loop_
_space_group_symop_operation_xyz
'x,y,z'
loop_
_atom_site_label
_atom_site_fract_x
_atom_site_fract_y
_atom_site_fract_z
Cs1 0.225 0.073 0.249
Cs2 0.225 0.427 0.749
Cs3 0.775 0.573 0.251
Cs4 0.775 0.927 0.751
Sr1 0.500 0.000 0.000
Sr2 0.500 0.500 0.500
Pb1 0.000 0.000 0.500
Pb2 0.000 0.500 0.000
I1 0.151 0.202 0.956
I2 0.151 0.298 0.456
I3 0.258 0.699 0.956
I4 0.258 0.801 0.456
I5 0.337 0.015 0.748
I6 0.337 0.485 0.248
I7 0.663 0.515 0.752
I8 0.663 0.985 0.252
I9 0.742 0.199 0.544
I10 0.742 0.301 0.044
I11 0.849 0.702 0.544
I12 0.849 0.798 0.044
```

Top 10 peaks for 2θ from 5° to 70°, sorted by position:
d [Å], 2θ (°), I (rel.)
6.331, 13.99, 282
4.477, 19.83, 255
3.805, 23.38, 260
3.771, 23.59, 277
3.709, 23.99, 251
3.165, 28.19, 1000
2.884, 31.01, 271
2.831, 31.60, 180
2.544, 35.28, 180
2.130, 42.44, 252

=====

Entry 8:
Structure and theoretical X-ray powder pattern of CsTePbI (a cell relaxed with GGA-PBE; Cu Kα).

Crystal structure
```
data_CsTePbI
_chemical_formula_sum 'Cs3 Te3 Pb3 I3'
_space_group_name_H-M_alt 'P 1'
_space_group_IT_number 1
_cell_length_a 4.963
_cell_length_b 4.963
_cell_length_c 29.742
_cell_angle_alpha 90.00
_cell_angle_beta 90.00
_cell_angle_gamma 120.00
loop_
_space_group_symop_operation_xyz
'x,y,z'
loop_
_atom_site_label
_atom_site_fract_x
_atom_site_fract_y
_atom_site_fract_z
Cs1 0.000 0.000 0.000
Cs2 0.333 0.667 0.667
Cs3 0.667 0.333 0.333
Te1 0.000 0.000 0.764
Te2 0.333 0.667 0.431
Te3 0.667 0.333 0.098
Pb1 0.000 0.000 0.145
Pb2 0.333 0.667 0.812
Pb3 0.667 0.333 0.478
I1 0.000 0.000 0.254
I2 0.333 0.667 0.921
I3 0.667 0.333 0.588
```

Top 10 peaks for 2θ from 5° to 70°, sorted by position:
d [Å], 2θ (°), I (rel.)
4.957, 17.89, 261
4.254, 20.88, 949
4.129, 21.52, 522
3.721, 23.91, 288
3.484, 25.57, 329
3.022, 29.56, 339
2.812, 31.82, 1000
2.481, 36.20, 917
1.861, 48.95, 300
1.489, 62.37, 291